# 1
PrZnAgAs2: simulated powder diffractogram (CuKα), based on a DFT-relaxed cell (PBE, the Materials Project).

The 6 most intense peaks (10 to 90 degrees two-theta), by angle:
d/Å	2θ/deg	Rel. int.	(hkl)
3.316	26.89	100	0 1 1
2.561	35.03	95	0 1 2
2.175	41.52	86	1 1 0
1.981	45.81	33	1 0 3
1.658	55.42	25	2 0 2
1.318	71.56	23	1 2 2

Atomic structure:
```
PrZnAgAs2
1.0
4.3498 0.0000 0.0000
-2.1749 3.7671 0.0000
0.0000 0.0000 6.9860
Pr Zn Ag As
1 1 1 2
direct
0.0000 0.0000 0.0000
0.6667 0.3333 0.3885
0.3333 0.6667 0.6521
0.3333 0.6667 0.2635
0.6667 0.3333 0.7667
```

# 2
RbAg2As3Se6: simulated powder diffractogram (CuKα), based on a DFT-relaxed cell (PBE, the Materials Project).

The 6 most intense peaks (10 to 90 degrees two-theta), by angle:
d/Å	2θ/deg	Rel. int.	(hkl)
8.815	10.03	43	1 0 0
5.849	15.15	33	0 1 2
3.575	24.91	34	0 2 2
3.067	29.11	100	1 1 4
3.057	29.21	75	2 1 -6
2.053	44.10	33	1 3 4

Atomic structure:
```
RbAg2As3Se6
1.0
10.1676 0.0000 0.0000
0.0000 7.8225 0.0000
-10.0783 0.0000 17.6330
Rb Ag As Se
4 8 12 24
direct
0.1610 0.1751 0.1676
0.1610 0.3249 0.6676
0.8390 0.6751 0.3324
0.8390 0.8249 0.8324
0.3502 0.0150 0.0007
0.3502 0.4850 0.5007
0.4522 0.0384 0.4192
0.4522 0.4616 0.9192
0.5478 0.5384 0.0808
0.5478 0.9616 0.5808
0.6498 0.5150 0.4993
0.6498 0.9850 0.9993
0.0465 0.1505 0.3534
0.0465 0.3495 0.8534
0.2134 0.6183 0.0814
0.2134 0.8817 0.5814
0.3466 0.6303 0.2768
0.3466 0.8697 0.7768
0.6534 0.1303 0.2232
0.6534 0.3697 0.7232
0.7866 0.1183 0.4186
0.7866 0.3817 0.9186
0.9535 0.6505 0.1466
0.9535 0.8495 0.6466
0.0126 0.2038 0.9513
0.0126 0.2962 0.4513
0.1340 0.6969 0.7644
0.1340 0.8031 0.2644
0.2667 0.6954 0.9828
0.2667 0.8046 0.4828
0.2682 0.2023 0.8720
0.2682 0.2977 0.3720
0.4098 0.7204 0.6890
0.4098 0.7796 0.1890
0.4537 0.2496 0.1080
0.4537 0.2504 0.6080
0.5463 0.7496 0.3920
0.5463 0.7504 0.8920
0.5902 0.2204 0.8110
0.5902 0.2796 0.3110
0.7318 0.7023 0.6280
0.7318 0.7977 0.1280
0.7333 0.1954 0.5172
0.7333 0.3046 0.0172
0.8660 0.1969 0.7356
0.8660 0.3031 0.2356
0.9874 0.7038 0.5487
0.9874 0.7962 0.0487
```

# 3
Rb2AgAs3Se6: simulated powder diffractogram (CuKα), based on a DFT-relaxed cell (PBE, the Materials Project).

The 6 most intense peaks (10 to 90 degrees two-theta), by angle:
d/Å	2θ/deg	Rel. int.	(hkl)
6.834	12.95	100	1 1 -1
3.174	28.11	60	3 1 0
3.111	28.69	89	0 2 3
3.012	29.66	76	4 1 -4
2.947	30.33	63	3 2 -3
2.890	30.95	63	2 2 1

Atomic structure:
```
Rb2AgAs3Se6
1.0
13.0855 0.0000 0.0000
0.0000 8.0346 0.0000
-11.3555 0.0000 14.7363
Rb Ag As Se
8 4 12 24
direct
0.0854 0.1009 0.2367
0.0854 0.3991 0.7367
0.2809 0.6281 0.6107
0.2809 0.8719 0.1107
0.7191 0.1281 0.8893
0.7191 0.3719 0.3893
0.9146 0.6009 0.2633
0.9146 0.8991 0.7633
0.0276 0.0068 0.4270
0.0276 0.4932 0.9270
0.9724 0.5068 0.0730
0.9724 0.9932 0.5730
0.2782 0.0898 0.6519
0.2782 0.4102 0.1519
0.3339 0.5416 0.3628
0.3339 0.9584 0.8628
0.3846 0.1675 0.5062
0.3846 0.3325 0.0062
0.6154 0.6675 0.9938
0.6154 0.8325 0.4938
0.6661 0.0416 0.1372
0.6661 0.4584 0.6372
0.7218 0.5898 0.8481
0.7218 0.9102 0.3481
0.0880 0.2425 0.0537
0.0880 0.2575 0.5537
0.1552 0.6699 0.2291
0.1552 0.8301 0.7291
0.2241 0.1060 0.9156
0.2241 0.3940 0.4156
0.2510 0.5691 0.9599
0.2510 0.9309 0.4599
0.3807 0.2048 0.8045
0.3807 0.2952 0.3045
0.4480 0.2386 0.6578
0.4480 0.2614 0.1578
0.5520 0.7386 0.8422
0.5520 0.7614 0.3422
0.6193 0.7048 0.6955
0.6193 0.7952 0.1955
0.7490 0.0691 0.5401
0.7490 0.4309 0.0401
0.7759 0.6060 0.5844
0.7759 0.8940 0.0844
0.8448 0.1699 0.2709
0.8448 0.3301 0.7709
0.9120 0.7425 0.4463
0.9120 0.7575 0.9463
```